[1]
For SrCaEuSbO6, a DFT-relaxed cell (PBE, Alexandria) gives the theoretical PXRD pattern in this record (Cu Kα, 1.54184 Å).
Intensities are scaled so that the largest is 100.

Crystal structure
Cell: 5.8529 5.8529 8.5111 Å, 90.00 90.00 90.00°
Element x y z (fractional)
Sr 0.0000 0.5000 0.2500
Sr 0.5000 0.0000 0.7500
Ca 0.0000 0.5000 0.7500
Ca 0.5000 0.0000 0.2500
Eu 0.0000 0.0000 0.0000
Eu 0.5000 0.5000 0.5000
Sb 0.0000 0.0000 0.5000
Sb 0.5000 0.5000 0.0000
O 0.0000 0.0000 0.2648
O 0.0000 0.0000 0.7352
O 0.1581 0.3050 0.5102
O 0.1950 0.3419 0.9898
O 0.3050 0.8419 0.4898
O 0.3419 0.8050 0.0102
O 0.5000 0.5000 0.2352
O 0.5000 0.5000 0.7648
O 0.6581 0.1950 0.0102
O 0.6950 0.1581 0.4898
O 0.8050 0.6581 0.9898
O 0.8419 0.6950 0.5102

Most intense lines, 2θ = 10–90°, by intensity:
d = 2.967 Å, rel. 100.0; d = 2.926 Å, rel. 59.8; d = 1.697 Å, rel. 46.8; d = 2.069 Å, rel. 28.7; d = 1.721 Å, rel. 24.4; d = 4.139 Å, rel. 24.2; d = 1.483 Å, rel. 18.5; d = 2.128 Å, rel. 18.5; d = 4.256 Å, rel. 15.2; d = 1.115 Å, rel. 14.4; d = 1.126 Å, rel. 12.6; d = 1.309 Å, rel. 11.9

[2]
For CaTbEuSbO6, a DFT-relaxed cell (PBE, Alexandria) gives the theoretical PXRD pattern in this record (Cu Kα, 1.54184 Å).
Intensities are scaled so that the largest is 100.

Crystal structure
Cell: 5.9208 5.9208 5.9208 Å, 60.00 60.00 60.00°
Element x y z (fractional)
Ca 0.0000 0.0000 0.0000
Tb 0.2500 0.2500 0.2500
Eu 0.5000 0.5000 0.5000
Sb 0.7500 0.7500 0.7500
O 0.5130 0.5130 0.9870
O 0.5130 0.9870 0.5130
O 0.5130 0.9870 0.9870
O 0.9870 0.5130 0.5130
O 0.9870 0.5130 0.9870
O 0.9870 0.9870 0.5130

Most intense lines, 2θ = 10–90°, by intensity:
d = 2.960 Å, rel. 100.0; d = 1.709 Å, rel. 40.0; d = 2.093 Å, rel. 30.8; d = 1.119 Å, rel. 21.3; d = 1.480 Å, rel. 18.9; d = 1.324 Å, rel. 17.6; d = 4.834 Å, rel. 14.0; d = 2.525 Å, rel. 9.2; d = 4.187 Å, rel. 9.0; d = 1.209 Å, rel. 6.2; d = 1.921 Å, rel. 4.5; d = 1.872 Å, rel. 3.5

[3]
For CaEuSn4O12, a DFT-relaxed cell (PBE, Alexandria) gives the theoretical PXRD pattern in this record (Cu Kα, 1.54184 Å).
Intensities are scaled so that the largest is 100.

Crystal structure
Cell: 8.0564 5.6954 5.6954 Å, 89.74 90.00 90.00°
Element x y z (fractional)
Ca 0.0000 0.0000 0.0000
Eu 0.5000 0.5450 0.5450
Sn 0.2442 0.0363 0.5137
Sn 0.2442 0.5137 0.0363
Sn 0.7558 0.0363 0.5137
Sn 0.7558 0.5137 0.0363
O 0.0000 0.0054 0.6040
O 0.0000 0.6040 0.0054
O 0.1929 0.2070 0.2070
O 0.2778 0.3307 0.7242
O 0.2778 0.7242 0.3307
O 0.3027 0.7934 0.7934
O 0.5000 0.1094 0.4776
O 0.5000 0.4776 0.1094
O 0.6973 0.7934 0.7934
O 0.7222 0.3307 0.7242
O 0.7222 0.7242 0.3307
O 0.8071 0.2070 0.2070

Most intense lines, 2θ = 10–90°, by intensity:
d = 2.848 Å, rel. 100.0; d = 1.645 Å, rel. 30.7; d = 4.651 Å, rel. 26.4; d = 4.032 Å, rel. 26.1; d = 2.016 Å, rel. 21.4; d = 1.642 Å, rel. 16.1; d = 1.425 Å, rel. 11.3; d = 4.018 Å, rel. 11.2; d = 2.009 Å, rel. 9.3; d = 1.803 Å, rel. 9.0; d = 1.799 Å, rel. 8.2; d = 2.431 Å, rel. 7.7